[1]
Calculated powder diffractogram of KAuO2 for Cu Kα, from a cell relaxed with PBE.
Lines closer than 0.1° are merged.

Top 10 peaks for 2θ = 10–90°, low angle first:
| Position (°2θ) | I/Imax |
| --- | --- |
| 15.1 | 88 |
| 23.6 | 47 |
| 28.1 | 100 |
| 29.0 | 32 |
| 30.4 | 29 |
| 32.8 | 26 |
| 40.8 | 68 |
| 42.5 | 40 |
| 49.2 | 26 |
| 61.2 | 23 |

Unit cell a=3.082 b=3.774 c=5.881 alpha=90.00 beta=90.00 gamma=90.00
Positions (direct):
K (0.000, 0.000, 0.000)
Au (0.000, 0.500, 0.500)
O (0.500, 0.500, 0.271)
O (0.500, 0.500, 0.729)


[2]
Calculated powder diffractogram of KAuS2O8 for Cu Kα, from a cell relaxed with PBE.
Lines closer than 0.1° are merged.

Top 10 peaks for 2θ = 10–90°, low angle first:
| Position (°2θ) | I/Imax |
| --- | --- |
| 14.7 | 100 |
| 17.7 | 15 |
| 21.9 | 14 |
| 23.5 | 50 |
| 27.6 | 49 |
| 28.9 | 48 |
| 31.7 | 26 |
| 41.4 | 20 |
| 43.3 | 17 |
| 44.8 | 15 |

Unit cell a=6.839 b=6.839 c=9.653 alpha=113.26 beta=113.26 gamma=67.17
Positions (direct):
K (0.019, 0.981, 0.750)
K (0.981, 0.019, 0.250)
Au (0.500, 0.500, 0.000)
Au (0.500, 0.500, 0.500)
S (0.285, 0.321, 0.141)
S (0.321, 0.285, 0.641)
S (0.679, 0.715, 0.359)
S (0.715, 0.679, 0.859)
O (0.151, 0.173, 0.585)
O (0.156, 0.549, 0.181)
O (0.173, 0.151, 0.085)
O (0.267, 0.390, 0.509)
O (0.277, 0.493, 0.783)
O (0.390, 0.267, 0.009)
O (0.451, 0.844, 0.319)
O (0.493, 0.277, 0.283)
O (0.507, 0.723, 0.717)
O (0.549, 0.156, 0.681)
O (0.610, 0.733, 0.991)
O (0.723, 0.507, 0.217)
O (0.733, 0.610, 0.491)
O (0.827, 0.849, 0.915)
O (0.844, 0.451, 0.819)
O (0.849, 0.827, 0.415)